1.
Starting from a cell relaxed with GGA-PBE, the powder diffraction line list of BaCuN was calculated for CuKα.
Intensities are scaled so that the largest is 100.

Largest 12 diffraction maxima, low angle first, 2θ = 10–80°:
24.82°, rel. 35
25.07°, rel. 16
27.94°, rel. 88
31.87°, rel. 44
32.29°, rel. 100
34.77°, rel. 16
38.61°, rel. 32
40.97°, rel. 14
42.92°, rel. 22
57.05°, rel. 17
57.86°, rel. 12
67.58°, rel. 16

Cell and atoms:
abc: 7.809 7.809 9.563
angles: 101.96 101.96 42.16
Fractional positions:
Ba (0.094, 0.570, 0.371)
Ba (0.218, 0.782, 0.750)
Ba (0.430, 0.906, 0.129)
Ba (0.570, 0.094, 0.871)
Ba (0.782, 0.218, 0.250)
Ba (0.906, 0.430, 0.629)
Cu (0.000, 0.500, 0.000)
Cu (0.194, 0.658, 0.059)
Cu (0.342, 0.806, 0.441)
Cu (0.500, 0.000, 0.500)
Cu (0.658, 0.194, 0.559)
Cu (0.806, 0.342, 0.941)
N (0.117, 0.201, 0.894)
N (0.201, 0.117, 0.394)
N (0.500, 0.500, 0.000)
N (0.500, 0.500, 0.500)
N (0.799, 0.883, 0.606)
N (0.883, 0.799, 0.106)

---

2.
Starting from a cell relaxed with GGA-PBE, the powder diffraction line list of Ba2NaCu3O6 was calculated for CuKα.
Intensities are scaled so that the largest is 100.

Largest 12 diffraction maxima, low angle first, 2θ = 10–80°:
24.22°, rel. 20
28.82°, rel. 100
28.93°, rel. 52
31.06°, rel. 30
37.53°, rel. 19
39.80°, rel. 35
40.18°, rel. 13
45.48°, rel. 18
45.71°, rel. 27
53.87°, rel. 15
54.69°, rel. 16
59.69°, rel. 15

Cell and atoms:
abc: 9.307 8.458 7.157
angles: 72.63 60.15 47.22
Fractional positions:
Ba (0.231, 0.769, 0.231)
Ba (0.250, 0.250, 0.250)
Ba (0.750, 0.750, 0.750)
Ba (0.769, 0.231, 0.769)
Na (0.331, 0.331, 0.669)
Na (0.669, 0.669, 0.331)
Cu (0.003, 0.700, 0.997)
Cu (0.300, 0.997, 0.700)
Cu (0.310, 0.690, 0.690)
Cu (0.690, 0.310, 0.310)
Cu (0.700, 0.003, 0.300)
Cu (0.997, 0.300, 0.003)
O (0.072, 0.305, 0.695)
O (0.092, 0.722, 0.684)
O (0.278, 0.908, 0.498)
O (0.305, 0.072, 0.928)
O (0.316, 0.498, 0.908)
O (0.498, 0.316, 0.278)
O (0.502, 0.684, 0.722)
O (0.684, 0.502, 0.092)
O (0.695, 0.928, 0.072)
O (0.722, 0.092, 0.502)
O (0.908, 0.278, 0.316)
O (0.928, 0.695, 0.305)